Theoretical powder XRD pattern of NdB2O4 for CuKα, from DFT lattice parameters and positions (PBE).
Intensities are scaled so that the largest is 100.

abc: 6.3791 6.3791 6.9904
angles: 122.78 122.78 71.82
Fractional coordinates of all 14 atoms:
Nd 0.0000 0.0000 0.0000
Nd 0.8422 0.1578 0.5000
B 0.0758 0.4495 0.0318
B 0.4441 0.0507 0.6229
B 0.5505 0.9242 0.9682
B 0.9493 0.5559 0.3771
O 0.0164 0.5642 0.8988
O 0.1068 0.4864 0.2533
O 0.2077 0.0430 0.4391
O 0.4358 0.9836 0.1012
O 0.5136 0.8932 0.7467
O 0.6383 0.1773 0.7113
O 0.8227 0.3617 0.2887
O 0.9570 0.7923 0.5609

Peak list (8 most intense, 2θ = 10–90°, in order of rising 2θ)
2θ (°)  I (rel.)
16.54  100
17.36  13
25.49  16
29.52  27
30.43  20
30.64  16
37.10  14
45.32  20



Theoretical powder XRD pattern of NaSm4Tl4 for CuKα, from DFT lattice parameters and positions (PBE).
Intensities are scaled so that the largest is 100.

abc: 9.1462 9.1462 6.5751
angles: 90.00 90.00 90.00
Fractional coordinates of all 18 atoms:
Na 0.2500 0.2500 0.2500
Na 0.7500 0.7500 0.7500
Sm 0.0097 0.6638 0.1337
Sm 0.1638 0.9903 0.6337
Sm 0.3362 0.5097 0.6337
Sm 0.4903 0.8362 0.1337
Sm 0.5097 0.1638 0.8663
Sm 0.6638 0.4903 0.3663
Sm 0.8362 0.0097 0.3663
Sm 0.9903 0.3362 0.8663
Tl 0.0321 0.6615 0.6162
Tl 0.1615 0.9679 0.1162
Tl 0.3385 0.5321 0.1162
Tl 0.4679 0.8385 0.6162
Tl 0.5321 0.1615 0.3838
Tl 0.6615 0.4679 0.8838
Tl 0.8385 0.0321 0.8838
Tl 0.9679 0.3385 0.3838

Peak list (8 most intense, 2θ = 10–90°, in order of rising 2θ)
2θ (°)  I (rel.)
27.58  20
28.86  52
30.92  100
35.02  69
44.29  24
45.15  36
49.57  36
65.29  22



Theoretical powder XRD pattern of PaS4Cl4 for CuKα, from DFT lattice parameters and positions (PBE).
Intensities are scaled so that the largest is 100.

abc: 4.0618 8.8217 9.4591
angles: 91.82 90.41 103.06
Fractional coordinates of all 9 atoms:
Pa 0.0000 0.0000 0.0000
S 0.1781 0.3525 0.5380
S 0.2253 0.4544 0.3639
S 0.7747 0.5456 0.6361
S 0.8219 0.6475 0.4620
Cl 0.1380 0.2838 0.9354
Cl 0.4690 0.9432 0.8120
Cl 0.5310 0.0568 0.1880
Cl 0.8620 0.7162 0.0646

Peak list (8 most intense, 2θ = 10–90°, in order of rising 2θ)
2θ (°)  I (rel.)
10.30  46
13.69  100
14.17  96
18.77  36
22.48  48
28.73  34
29.48  38
29.66  28



Theoretical powder XRD pattern of In4Hg3S for CuKα, from DFT lattice parameters and positions (PBE).
Intensities are scaled so that the largest is 100.

abc: 7.5790 7.5790 3.9693
angles: 90.00 90.00 105.53
Fractional coordinates of all 8 atoms:
In 0.2234 0.2234 0.5000
In 0.2303 0.7697 0.0000
In 0.7697 0.2303 0.0000
In 0.7766 0.7766 0.5000
Hg 0.0000 0.5000 0.5000
Hg 0.5000 0.0000 0.5000
Hg 0.5000 0.5000 0.0000
S 0.0000 0.0000 0.0000

Peak list (8 most intense, 2θ = 10–90°, in order of rising 2θ)
2θ (°)  I (rel.)
29.61  49
29.77  100
39.29  22
42.48  72
45.71  16
49.96  21
55.41  18
70.03  15



Theoretical powder XRD pattern of Cd4CuRe for CuKα, from DFT lattice parameters and positions (PBE).
Intensities are scaled so that the largest is 100.

abc: 5.5158 5.5158 5.5158
angles: 60.00 60.00 60.00
Fractional coordinates of all 6 atoms:
Cd 0.1252 0.1252 0.1252
Cd 0.1252 0.1252 0.6244
Cd 0.1252 0.6244 0.1252
Cd 0.6244 0.1252 0.1252
Cu 0.7500 0.7500 0.7500
Re 0.5000 0.5000 0.5000

Peak list (8 most intense, 2θ = 10–90°, in order of rising 2θ)
2θ (°)  I (rel.)
32.46  29
38.27  100
40.04  38
57.92  11
61.80  32
67.98  26
80.79  11
81.92  13



Theoretical powder XRD pattern of AlNi4Pt for CuKα, from DFT lattice parameters and positions (PBE).
Intensities are scaled so that the largest is 100.

abc: 4.6970 4.6970 4.6970
angles: 60.00 60.00 60.00
Fractional coordinates of all 6 atoms:
Al 0.0000 0.0000 0.0000
Ni 0.3751 0.3751 0.3751
Ni 0.3751 0.3751 0.8748
Ni 0.3751 0.8748 0.3751
Ni 0.8748 0.3751 0.3751
Pt 0.7500 0.7500 0.7500

Peak list (8 most intense, 2θ = 10–90°, in order of rising 2θ)
2θ (°)  I (rel.)
23.19  28
26.84  29
38.33  41
45.28  100
47.41  29
69.30  15
74.18  30
82.07  20



Theoretical powder XRD pattern of TbPmEr6 for CuKα, from DFT lattice parameters and positions (PBE).
Intensities are scaled so that the largest is 100.

abc: 5.6210 7.1927 7.1927
angles: 60.02 90.00 90.00
Fractional coordinates of all 8 atoms:
Tb 0.0000 0.0000 0.0000
Pm 0.5000 0.8336 0.8336
Er 0.0000 0.5002 0.5002
Er 0.0000 0.4998 0.9994
Er 0.0000 0.9994 0.4998
Er 0.5000 0.3326 0.3326
Er 0.5000 0.3329 0.8350
Er 0.5000 0.8350 0.3329

Peak list (8 most intense, 2θ = 10–90°, in order of rising 2θ)
2θ (°)  I (rel.)
28.66  24
31.84  24
32.87  100
43.36  16
50.77  20
57.39  21
61.19  23
61.82  16



Theoretical powder XRD pattern of Na3BiBAsO7 for CuKα, from DFT lattice parameters and positions (PBE).
Intensities are scaled so that the largest is 100.

abc: 5.3997 7.2939 9.5897
angles: 90.00 91.22 90.00
Fractional coordinates of all 26 atoms:
Na 0.2369 0.2500 0.4387
Na 0.2454 0.5097 0.7311
Na 0.2454 0.9903 0.7311
Na 0.7546 0.0097 0.2689
Na 0.7546 0.4903 0.2689
Na 0.7631 0.7500 0.5613
Bi 0.2314 0.7500 0.1544
Bi 0.7686 0.2500 0.8456
B 0.2684 0.7500 0.4358
B 0.7316 0.2500 0.5642
As 0.2922 0.2500 0.1003
As 0.7078 0.7500 0.8997
O 0.0392 0.7500 0.3592
O 0.1799 0.0663 0.1945
O 0.1799 0.4337 0.1945
O 0.2018 0.2500 0.9254
O 0.2821 0.7500 0.5757
O 0.3913 0.7500 0.8937
O 0.4804 0.7500 0.3509
O 0.5196 0.2500 0.6491
O 0.6087 0.2500 0.1063
O 0.7179 0.2500 0.4243
O 0.7982 0.7500 0.0746
O 0.8201 0.5663 0.8055
O 0.8201 0.9337 0.8055
O 0.9608 0.2500 0.6408

Peak list (8 most intense, 2θ = 10–90°, in order of rising 2θ)
2θ (°)  I (rel.)
15.26  72
18.69  58
19.04  59
24.41  100
25.11  66
30.92  51
31.14  60
33.19  55